1.
TmUOs: theoretical XRD peak list (copper Kα), based on a structure optimized by DFT (GGA-PBE).

Cell and atoms:
abc: 3.487 3.487 10.652
angles: 90.00 90.00 90.00
Space group I4mm (No. 107)
Inequivalent atoms, fractional coordinates:
Tm  0.000  0.000  0.000 x2
U  0.000  0.000  0.299 x2
Os  0.000  0.000  0.687 x2

Main lines, by angle (10 to 80 degrees two-theta):
- 2θ = 16.65°, intensity 13, (0 0 2)
- 2θ = 36.11°, intensity 100, (1 0 3)
- 2θ = 36.44°, intensity 60, (1 1 0)
- 2θ = 52.49°, intensity 21, (2 0 0)
- 2θ = 65.37°, intensity 37, (2 1 3)
- 2θ = 67.12°, intensity 11, (1 0 7)

2.
Y2TmOs: theoretical XRD peak list (copper Kα), based on a structure optimized by DFT (GGA-PBE).

Cell and atoms:
abc: 7.364 9.075 6.336
angles: 90.00 90.00 90.00
Space group Pnma (No. 62)
Inequivalent atoms, fractional coordinates:
Y  0.175  0.063  0.171 x8
Tm  0.041  0.250  0.632 x4
Os  0.117  0.750  0.969 x4

Main lines, by angle (10 to 80 degrees two-theta):
- 2θ = 19.56°, intensity 73, (0 2 0)
- 2θ = 20.93°, intensity 74, (1 1 1)
- 2θ = 31.29°, intensity 54, (2 2 0)
- 2θ = 32.31°, intensity 100, (1 1 2)
- 2θ = 34.41°, intensity 52, (2 2 1)
- 2θ = 35.06°, intensity 69, (1 3 1)

3.
Tm5Zn4Os: theoretical XRD peak list (copper Kα), based on a structure optimized by DFT (GGA-PBE).

Cell and atoms:
abc: 3.466 3.466 17.681
angles: 90.00 90.00 90.00
Space group P4/mmm (No. 123)
Inequivalent atoms, fractional coordinates:
Tm  0.000  0.000  0.000 x1
Tm  0.000  0.000  0.202 x2
Tm  0.000  0.000  0.409 x2
Zn  0.500  0.500  0.101 x2
Zn  0.500  0.500  0.302 x2
Os  0.500  0.500  0.500 x1

Main lines, by angle (10 to 80 degrees two-theta):
- 2θ = 36.29°, intensity 100, (1 0 5)
- 2θ = 36.67°, intensity 50, (1 1 0)
- 2θ = 52.83°, intensity 17, (2 0 0)
- 2θ = 65.05°, intensity 17, (1 1 10)
- 2θ = 65.79°, intensity 35, (2 1 5)
- 2θ = 77.06°, intensity 10, (2 0 10)

4.
UOs5: theoretical XRD peak list (copper Kα), based on a structure optimized by DFT (GGA-PBE).

Cell and atoms:
abc: 3.976 12.064 3.970
angles: 90.00 90.00 90.00
Space group Cmmm (No. 65)
Inequivalent atoms, fractional coordinates:
U  0.000  0.000  0.000 x2
Os  0.000  0.175  0.500 x4
Os  0.000  0.322  0.000 x4
Os  0.000  0.500  0.500 x2

Main lines, by angle (10 to 80 degrees two-theta):
- 2θ = 39.12°, intensity 100, (1 3 1)
- 2θ = 45.09°, intensity 16, (0 6 0)
- 2θ = 45.67°, intensity 33, (2 0 0)
- 2θ = 66.12°, intensity 20, (2 6 0)
- 2θ = 79.17°, intensity 11, (1 9 1)
- 2θ = 79.96°, intensity 13, (3 3 1)

5.
UZn20Os2: theoretical XRD peak list (copper Kα), based on a structure optimized by DFT (GGA-PBE).

Cell and atoms:
abc: 14.276 14.276 14.276
angles: 90.00 90.00 90.00
Space group Fd-3m (No. 227, origin choice 2)
Inequivalent atoms, fractional coordinates:
U  0.125  0.125  0.125 x8
Zn  0.000  0.000  0.000 x16
Zn  0.012  0.375  0.875 x48
Zn  0.060  0.060  0.324 x96
Os  0.000  0.000  0.500 x16

Main lines, by angle (10 to 80 degrees two-theta):
- 2θ = 20.63°, intensity 59, (3 1 1)
- 2θ = 37.26°, intensity 50, (5 3 1)
- 2θ = 39.94°, intensity 44, (6 2 0)
- 2θ = 41.48°, intensity 90, (5 3 3)
- 2θ = 41.98°, intensity 100, (6 2 2)
- 2θ = 75.32°, intensity 44, (8 8 0)

6.
V5Os: theoretical XRD peak list (copper Kα), based on a structure optimized by DFT (GGA-PBE).

Cell and atoms:
abc: 2.991 2.991 9.045
angles: 90.00 90.00 90.00
Space group P4/mmm (No. 123)
Inequivalent atoms, fractional coordinates:
V  0.000  0.000  0.000 x1
V  0.000  0.000  0.330 x2
V  0.500  0.500  0.165 x2
Os  0.500  0.500  0.500 x1

Main lines, by angle (10 to 80 degrees two-theta):
- 2θ = 19.63°, intensity 17, (0 0 2)
- 2θ = 31.50°, intensity 22, (1 0 1)
- 2θ = 36.00°, intensity 17, (1 0 2)
- 2θ = 42.57°, intensity 100, (1 0 3)
- 2θ = 42.75°, intensity 49, (1 1 0)
- 2θ = 78.17°, intensity 31, (2 1 3)

7.
V5Os3: theoretical XRD peak list (copper Kα), based on a structure optimized by DFT (GGA-PBE).

Cell and atoms:
abc: 6.022 6.022 6.022
angles: 90.00 90.00 90.00
Space group Im-3m (No. 229)
Inequivalent atoms, fractional coordinates:
V  0.000  0.000  0.000 x2
V  0.250  0.250  0.250 x8
Os  0.000  0.000  0.500 x6

Main lines, by angle (10 to 80 degrees two-theta):
- 2θ = 20.86°, intensity 17, (1 1 0)
- 2θ = 29.67°, intensity 33, (2 0 0)
- 2θ = 42.46°, intensity 100, (2 2 0)
- 2θ = 61.61°, intensity 16, (4 0 0)
- 2θ = 69.86°, intensity 13, (4 2 0)
- 2θ = 77.69°, intensity 33, (4 2 2)

8.
VOs5: theoretical XRD peak list (copper Kα), based on a structure optimized by DFT (GGA-PBE).

Cell and atoms:
abc: 4.714 4.948 7.515
angles: 90.00 90.00 90.00
Space group P2_12_12 (No. 18)
Inequivalent atoms, fractional coordinates:
V  0.000  0.000  0.055 x2
Os  0.000  0.500  0.941 x2
Os  0.246  0.356  0.254 x4
Os  0.248  0.355  0.602 x4

Main lines, by angle (10 to 80 degrees two-theta):
- 2θ = 35.53°, intensity 46, (1 1 2)
- 2θ = 40.09°, intensity 58, (2 0 1)
- 2θ = 40.36°, intensity 87, (0 1 3)
- 2θ = 41.21°, intensity 100, (1 2 0)
- 2θ = 43.01°, intensity 31, (1 2 1)
- 2θ = 44.88°, intensity 99, (1 1 3)